Structure and computed XRD peak list of Eu5V3S6O7 (a crystal structure in Alexandria, relaxed with PBE+U; λ = 1.5418 Å (Cu Kα)).
Kinematic intensities with the Lorentz-polarization factor, no thermal factor.

Structure:
Cell: 3.748 17.959 10.167 Å, 90.00 90.00 90.00°
Space group Pmmn (No. 59, origin choice 2)
One atom of each set of equivalent atoms:
Eu (0.250, 0.086, 0.090) (multiplicity 4)
Eu (0.250, 0.250, 0.721) (multiplicity 2)
Eu (0.250, 0.637, 0.532) (multiplicity 4)
V (0.250, 0.058, 0.748) (multiplicity 4)
V (0.250, 0.750, 0.815) (multiplicity 2)
S (0.250, 0.012, 0.353) (multiplicity 4)
S (0.250, 0.250, 0.033) (multiplicity 2)
S (0.250, 0.250, 0.355) (multiplicity 2)
S (0.250, 0.634, 0.146) (multiplicity 4)
O (0.250, 0.001, 0.894) (multiplicity 4)
O (0.250, 0.127, 0.611) (multiplicity 4)
O (0.250, 0.648, 0.793) (multiplicity 4)
O (0.250, 0.750, 0.410) (multiplicity 2)

The 10 most intense peaks (2θ = 10–80°), low angle first:
d_spacing  two_theta  I (rel.)
3.451  25.81  58
3.365  26.49  79
3.330  26.77  53
3.032  29.46  78
2.705  33.12  43
2.593  34.59  100
2.504  35.86  68
2.490  36.08  60
1.925  47.22  62
1.874  48.58  50